# ZrTaNb
Simulated X-ray powder pattern, a wavelength of 1.5418 Å. Input: a cell relaxed with PBE.

Crystal structure
abc: 5.715 5.715 5.715
angles: 145.50 145.50 49.59
Positions (direct):
Zr  0.000  0.000  0.000
Ta  0.317  0.317  0.000
Nb  0.679  0.679  0.000

Top 10 peaks for 2θ from 10° to 90°, low angle first:
d (Å), I (rel.)
5.188, 14
3.222, 10
2.421, 100
2.397, 51
2.176, 6
1.729, 8
1.695, 18
1.402, 15
1.388, 34
1.210, 9

# ZrTa3Nb3
Simulated X-ray powder pattern, a wavelength of 1.5418 Å. Input: a cell relaxed with PBE.

Crystal structure
abc: 5.471 7.317 7.475
angles: 84.62 69.14 78.79
Positions (direct):
Zr  0.215  0.284  0.493
Zr  0.785  0.716  0.507
Ta  0.098  0.203  0.913
Ta  0.237  0.468  0.102
Ta  0.437  0.867  0.899
Ta  0.563  0.133  0.101
Ta  0.763  0.532  0.898
Ta  0.902  0.797  0.087
Nb  0.011  0.924  0.705
Nb  0.307  0.575  0.706
Nb  0.353  0.758  0.298
Nb  0.647  0.242  0.702
Nb  0.693  0.425  0.294
Nb  0.989  0.076  0.295

Top 10 peaks for 2θ from 10° to 90°, low angle first:
d (Å), I (rel.)
6.983, 100
2.414, 92
2.405, 92
2.383, 88
2.336, 75
2.281, 69
2.257, 75
1.675, 26
1.661, 25
1.636, 25

# ZrTa5Nb6
Simulated X-ray powder pattern, a wavelength of 1.5418 Å. Input: a cell relaxed with PBE.

Crystal structure
abc: 8.128 8.128 4.740
angles: 106.56 106.56 48.57
Positions (direct):
Zr  0.000  0.000  0.000
Ta  0.167  0.167  0.668
Ta  0.333  0.333  0.333
Ta  0.500  0.500  0.000
Ta  0.667  0.667  0.667
Ta  0.833  0.833  0.332
Nb  0.084  0.576  0.830
Nb  0.261  0.739  0.500
Nb  0.424  0.916  0.170
Nb  0.576  0.084  0.830
Nb  0.739  0.261  0.500
Nb  0.916  0.424  0.170

Top 10 peaks for 2θ from 10° to 90°, low angle first:
d (Å), I (rel.)
3.345, 11
2.367, 100
2.356, 66
2.346, 32
1.672, 23
1.661, 11
1.369, 12
1.366, 11
1.364, 12
1.360, 23

# Zr2TaNb4
Simulated X-ray powder pattern, a wavelength of 1.5418 Å. Input: a cell relaxed with PBE.

Crystal structure
abc: 13.071 13.071 3.285
angles: 90.00 90.00 165.38
Positions (direct):
Zr  0.197  0.803  0.000
Zr  0.803  0.197  0.000
Ta  0.500  0.500  0.500
Nb  0.066  0.934  0.000
Nb  0.374  0.626  0.500
Nb  0.626  0.374  0.500
Nb  0.934  0.066  0.000

Top 10 peaks for 2θ from 10° to 90°, low angle first:
d (Å), I (rel.)
2.615, 15
2.475, 80
2.328, 100
2.307, 85
2.178, 27
1.664, 16
1.643, 15
1.390, 30
1.369, 24
1.349, 30

# TbZrNb
Simulated X-ray powder pattern, a wavelength of 1.5418 Å. Input: a cell relaxed with PBE.

Crystal structure
abc: 5.980 5.980 5.980
angles: 144.15 144.15 51.61
Positions (direct):
Tb  0.000  0.000  0.000
Zr  0.297  0.297  0.000
Nb  0.690  0.690  0.000

Top 10 peaks for 2θ from 10° to 90°, low angle first:
d (Å), I (rel.)
3.483, 20
2.692, 11
2.603, 62
2.570, 100
1.871, 15
1.841, 22
1.496, 37
1.478, 10
1.419, 13
1.124, 12

# TiNb5Tc4
Simulated X-ray powder pattern, a wavelength of 1.5418 Å. Input: a cell relaxed with PBE.

Crystal structure
abc: 3.192 3.192 16.207
angles: 90.00 90.00 90.00
Positions (direct):
Ti  0.000  0.000  0.000
Nb  0.500  0.500  0.107
Nb  0.500  0.500  0.303
Nb  0.500  0.500  0.500
Nb  0.500  0.500  0.697
Nb  0.500  0.500  0.893
Tc  0.000  0.000  0.204
Tc  0.000  0.000  0.401
Tc  0.000  0.000  0.599
Tc  0.000  0.000  0.796

Top 10 peaks for 2θ from 10° to 90°, low angle first:
d (Å), I (rel.)
8.103, 3
2.274, 100
2.257, 50
2.062, 2
1.621, 8
1.596, 16
1.316, 16
1.306, 32
1.137, 10
1.128, 5

# Ti5Nb2Tc2
Simulated X-ray powder pattern, a wavelength of 1.5418 Å. Input: a cell relaxed with PBE.

Crystal structure
abc: 5.368 5.368 6.908
angles: 101.67 101.67 49.79
Positions (direct):
Ti  0.000  0.000  0.000
Ti  0.120  0.120  0.660
Ti  0.327  0.327  0.029
Ti  0.673  0.673  0.971
Ti  0.880  0.880  0.340
Nb  0.436  0.436  0.663
Nb  0.564  0.564  0.337
Tc  0.220  0.220  0.332
Tc  0.780  0.780  0.668

Top 10 peaks for 2θ from 10° to 90°, low angle first:
d (Å), I (rel.)
6.735, 15
2.284, 70
2.262, 100
2.245, 32
1.623, 11
1.593, 21
1.318, 10
1.309, 11
1.307, 15
1.305, 10

# TiNb6Tc
Simulated X-ray powder pattern, a wavelength of 1.5418 Å. Input: a cell relaxed with PBE.

Crystal structure
abc: 5.813 5.813 5.813
angles: 110.78 110.78 110.78
Positions (direct):
Ti  0.000  0.000  0.000
Nb  0.251  0.251  0.745
Nb  0.251  0.745  0.251
Nb  0.255  0.749  0.749
Nb  0.745  0.251  0.251
Nb  0.749  0.255  0.749
Nb  0.749  0.749  0.255
Tc  0.500  0.500  0.500

Top 10 peaks for 2θ from 10° to 90°, low angle first:
d (Å), I (rel.)
2.578, 28
2.392, 100
2.270, 30
2.051, 28
1.754, 17
1.646, 11
1.557, 11
1.381, 17
1.356, 11
1.289, 13

# TiNb2Tc3
Simulated X-ray powder pattern, a wavelength of 1.5418 Å. Input: a cell relaxed with PBE.

Crystal structure
abc: 7.075 7.075 3.167
angles: 90.00 90.00 143.12
Positions (direct):
Ti  0.000  0.000  0.000
Nb  0.335  0.665  0.000
Nb  0.665  0.335  0.000
Tc  0.166  0.834  0.500
Tc  0.500  0.500  0.500
Tc  0.834  0.166  0.500

Top 10 peaks for 2θ from 10° to 90°, low angle first:
d (Å), I (rel.)
6.711, 2
4.245, 2
3.356, 1
3.165, 2
2.538, 1
2.238, 100
1.582, 16
1.415, 1
1.292, 32
1.119, 10

# Ti4Nb4Tc
Simulated X-ray powder pattern, a wavelength of 1.5418 Å. Input: a cell relaxed with PBE.

Crystal structure
abc: 7.106 7.106 7.106
angles: 92.96 92.96 153.75
Positions (direct):
Ti  0.155  0.155  0.311
Ti  0.155  0.845  0.000
Ti  0.845  0.155  0.000
Ti  0.845  0.845  0.689
Nb  0.165  0.500  0.665
Nb  0.500  0.165  0.665
Nb  0.500  0.835  0.335
Nb  0.835  0.500  0.335
Tc  0.500  0.500  0.000

Top 10 peaks for 2θ from 10° to 90°, low angle first:
d (Å), I (rel.)
4.894, 13
2.307, 50
2.294, 100
2.077, 6
1.631, 16
1.614, 8
1.329, 31
1.322, 16
1.153, 5
1.147, 10

# Ti3NbTc3
Simulated X-ray powder pattern, a wavelength of 1.5418 Å. Input: a cell relaxed with PBE.

Crystal structure
abc: 6.180 6.180 6.216
angles: 90.00 90.00 91.02
Positions (direct):
Ti  0.000  0.000  0.247
Ti  0.000  0.000  0.753
Ti  0.000  0.500  0.250
Ti  0.000  0.500  0.750
Ti  0.500  0.000  0.250
Ti  0.500  0.000  0.750
Nb  0.500  0.500  0.253
Nb  0.500  0.500  0.747
Tc  0.246  0.754  0.000
Tc  0.249  0.751  0.500
Tc  0.252  0.252  0.000
Tc  0.748  0.748  0.000
Tc  0.751  0.249  0.500
Tc  0.754  0.246  0.000

Top 10 peaks for 2θ from 10° to 90°, low angle first:
d (Å), I (rel.)
6.206, 18
4.331, 12
2.204, 25
2.191, 100
2.165, 24
1.554, 8
1.545, 16
1.270, 24
1.255, 15
1.096, 10

# Nb4VTc3
Simulated X-ray powder pattern, a wavelength of 1.5418 Å. Input: a cell relaxed with PBE.

Crystal structure
abc: 3.183 3.183 12.809
angles: 90.00 90.00 90.00
Positions (direct):
Nb  0.000  0.000  0.125
Nb  0.000  0.000  0.375
Nb  0.000  0.000  0.625
Nb  0.000  0.000  0.875
V  0.500  0.500  0.000
Tc  0.500  0.500  0.250
Tc  0.500  0.500  0.500
Tc  0.500  0.500  0.750

Top 10 peaks for 2θ from 10° to 90°, low angle first:
d (Å), I (rel.)
6.405, 2
3.089, 1
2.258, 100
2.251, 50
1.601, 8
1.592, 16
1.305, 16
1.301, 32
1.129, 10
1.125, 5